MgTi2N3: calculated powder diffraction line list (a wavelength of 1.5418 Å), based on a cell relaxed with PBE.
Intensities are scaled so that the largest is 1000.

abc: 5.2455 5.2455 5.4613
angles: 90.00 90.00 120.00
Space group P6_3/mcm (No. 193)
Asymmetric unit:
Mg 0.0000 0.0000 0.2500 [2 per cell]
Ti 0.3333 0.6667 0.0000 [4 per cell]
N 0.0000 0.3958 0.2500 [6 per cell]

Principal peaks in the range 5° ≤ 2θ ≤ 70°, low angle first:
- 2θ = 19.54°, I 397, hkl 1 0 0
- 2θ = 32.80°, I 27, hkl 0 0 2
- 2θ = 34.19°, I 1000, hkl 1 1 0
- 2θ = 38.06°, I 116, hkl 1 1 1
- 2θ = 38.46°, I 579, hkl 1 0 2
- 2θ = 48.10°, I 477, hkl 1 1 2
- 2θ = 52.40°, I 425, hkl 2 0 2
- 2θ = 61.21°, I 299, hkl 3 0 0
- 2θ = 64.06°, I 273, hkl 2 1 2
- 2θ = 68.75°, I 81, hkl 0 0 4

---

MgTi4N5: calculated powder diffraction line list (a wavelength of 1.5418 Å), based on a cell relaxed with PBE.
Intensities are scaled so that the largest is 1000.

abc: 3.015 4.245 15.102
angles: 90.00 90.00 90.00
Space group Immm (No. 71)
Asymmetric unit:
Mg 0.000 0.000 0.000 [2 per cell]
Ti 0.000 0.000 0.202 [4 per cell]
Ti 0.000 0.000 0.400 [4 per cell]
N 0.000 0.500 0.000 [2 per cell]
N 0.000 0.500 0.199 [4 per cell]
N 0.000 0.500 0.396 [4 per cell]

Principal peaks in the range 5° ≤ 2θ ≤ 70°, low angle first:
- 2θ = 11.72°, I 100, hkl 0 0 2
- 2θ = 21.74°, I 46, hkl 0 1 1
- 2θ = 27.48°, I 23, hkl 0 1 3
- 2θ = 30.23°, I 17, hkl 1 0 1
- 2θ = 36.53°, I 886, hkl 1 1 0
- 2θ = 42.36°, I 1000, hkl 1 0 5
- 2θ = 42.59°, I 492, hkl 0 2 0
- 2θ = 61.39°, I 140, hkl 0 0 10
- 2θ = 61.51°, I 140, hkl 2 0 0
- 2θ = 61.63°, I 554, hkl 1 2 5

---

Mg6Tl2N: calculated powder diffraction line list (a wavelength of 1.5418 Å), based on a cell relaxed with PBE.
Intensities are scaled so that the largest is 1000.

abc: 6.314 6.314 8.973
angles: 90.00 90.00 90.00
Space group I4/mmm (No. 139)
Asymmetric unit:
Mg 0.000 0.000 0.244 [4 per cell]
Mg 0.244 0.244 0.000 [8 per cell]
Tl 0.000 0.500 0.250 [4 per cell]
N 0.000 0.000 0.000 [2 per cell]

Principal peaks in the range 5° ≤ 2θ ≤ 70°, low angle first:
- 2θ = 19.85°, I 967, hkl 1 1 0
- 2θ = 28.22°, I 1000, hkl 2 0 0
- 2θ = 34.74°, I 870, hkl 2 0 2
- 2θ = 40.20°, I 160, hkl 0 0 4
- 2θ = 40.40°, I 316, hkl 2 2 0
- 2θ = 45.24°, I 164, hkl 1 1 4
- 2θ = 45.40°, I 325, hkl 3 1 0
- 2θ = 50.00°, I 282, hkl 3 1 2
- 2θ = 58.31°, I 214, hkl 2 2 4
- 2θ = 69.84°, I 230, hkl 4 2 2

---

MgTlN2: calculated powder diffraction line list (a wavelength of 1.5418 Å), based on a cell relaxed with PBE.
Intensities are scaled so that the largest is 1000.

abc: 5.873 5.873 5.873
angles: 90.00 90.00 90.00
Space group Fm-3m (No. 225)
Asymmetric unit:
Mg 0.000 0.000 0.000 [4 per cell]
Tl 0.000 0.000 0.500 [4 per cell]
N 0.250 0.250 0.250 [8 per cell]

Principal peaks in the range 5° ≤ 2θ ≤ 70°, low angle first:
- 2θ = 26.28°, I 1000, hkl 1 1 1
- 2θ = 30.44°, I 671, hkl 2 0 0
- 2θ = 43.59°, I 822, hkl 2 2 0
- 2θ = 51.62°, I 495, hkl 3 1 1
- 2θ = 54.09°, I 194, hkl 2 2 2
- 2θ = 63.35°, I 132, hkl 4 0 0
- 2θ = 69.80°, I 205, hkl 3 3 1

---

MgVN2: calculated powder diffraction line list (a wavelength of 1.5418 Å), based on a cell relaxed with PBE.
Intensities are scaled so that the largest is 1000.

abc: 5.722 6.627 5.114
angles: 90.00 90.00 90.00
Space group Pna2_1 (No. 33)
Asymmetric unit:
Mg 0.089 0.122 0.000 [4 per cell]
V 0.076 0.626 0.008 [4 per cell]
N 0.064 0.609 0.373 [4 per cell]
N 0.103 0.143 0.418 [4 per cell]

Principal peaks in the range 5° ≤ 2θ ≤ 70°, low angle first:
- 2θ = 20.51°, I 214, hkl 1 1 0
- 2θ = 21.95°, I 232, hkl 0 1 1
- 2θ = 31.22°, I 777, hkl 2 0 0
- 2θ = 35.09°, I 505, hkl 0 0 2
- 2θ = 35.92°, I 1000, hkl 1 2 1
- 2θ = 47.65°, I 203, hkl 1 2 2
- 2θ = 55.47°, I 164, hkl 0 4 0
- 2θ = 55.60°, I 327, hkl 3 2 0
- 2θ = 63.50°, I 365, hkl 1 2 3
- 2θ = 67.47°, I 233, hkl 3 2 2

---

Mg4VN4: calculated powder diffraction line list (a wavelength of 1.5418 Å), based on a cell relaxed with PBE.
Intensities are scaled so that the largest is 1000.

abc: 8.585 7.804 6.578
angles: 90.00 90.00 90.00
Space group Cmcm (No. 63)
Asymmetric unit:
Mg 0.151 0.213 0.250 [8 per cell]
Mg 0.158 0.500 0.000 [8 per cell]
V 0.000 0.163 0.750 [4 per cell]
N 0.000 0.291 0.000 [8 per cell]
N 0.202 0.052 0.750 [8 per cell]

Principal peaks in the range 5° ≤ 2θ ≤ 70°, low angle first:
- 2θ = 26.56°, I 185, hkl 0 2 1
- 2θ = 30.97°, I 411, hkl 2 2 0
- 2θ = 31.30°, I 883, hkl 1 1 2
- 2θ = 33.91°, I 176, hkl 2 2 1
- 2θ = 35.70°, I 306, hkl 0 2 2
- 2θ = 36.10°, I 1000, hkl 3 1 1
- 2θ = 53.98°, I 213, hkl 3 1 3
- 2θ = 55.30°, I 245, hkl 3 3 2
- 2θ = 55.91°, I 290, hkl 0 0 4
- 2θ = 65.23°, I 174, hkl 6 0 0

---

MgW2N2: calculated powder diffraction line list (a wavelength of 1.5418 Å), based on a cell relaxed with PBE.
Intensities are scaled so that the largest is 1000.

abc: 3.277 3.277 7.194
angles: 90.00 90.00 90.00
Space group P-4m2 (No. 115)
Asymmetric unit:
Mg 0.000 0.000 0.000 [1 per cell]
W 0.500 0.500 0.321 [2 per cell]
N 0.000 0.500 0.817 [2 per cell]

Principal peaks in the range 5° ≤ 2θ ≤ 70°, low angle first:
- 2θ = 12.30°, I 367, hkl 0 0 1
- 2θ = 24.75°, I 270, hkl 0 0 2
- 2θ = 27.22°, I 1000, hkl 1 0 0
- 2θ = 29.96°, I 476, hkl 1 0 1
- 2θ = 37.11°, I 503, hkl 1 0 2
- 2θ = 37.50°, I 240, hkl 0 0 3
- 2θ = 38.87°, I 456, hkl 1 1 0
- 2θ = 46.95°, I 441, hkl 1 0 3
- 2θ = 55.12°, I 407, hkl 1 1 3
- 2θ = 56.14°, I 202, hkl 2 0 0

---

MgZn8N6: calculated powder diffraction line list (a wavelength of 1.5418 Å), based on a cell relaxed with PBE.
Intensities are scaled so that the largest is 1000.

abc: 6.0118 6.0118 11.6453
angles: 90.00 90.00 120.00
Space group P6_3cm (No. 185)
Asymmetric unit:
Mg 0.0000 0.0000 0.0000 [2 per cell]
Zn 0.0000 0.2925 0.2858 [6 per cell]
Zn 0.0000 0.3938 0.6256 [6 per cell]
Zn 0.3333 0.6667 0.4368 [4 per cell]
N 0.0000 0.0000 0.1927 [2 per cell]
N 0.0000 0.3339 0.4564 [6 per cell]
N 0.3333 0.6667 0.2126 [4 per cell]

Principal peaks in the range 5° ≤ 2θ ≤ 70°, low angle first:
- 2θ = 30.72°, I 574, hkl 1 1 1
- 2θ = 33.55°, I 478, hkl 1 1 2
- 2θ = 35.32°, I 160, hkl 1 0 4
- 2θ = 37.86°, I 1000, hkl 1 1 3
- 2θ = 43.26°, I 331, hkl 1 1 4
- 2θ = 46.81°, I 475, hkl 0 0 6
- 2θ = 49.51°, I 188, hkl 1 1 5
- 2θ = 52.75°, I 445, hkl 3 0 0
- 2θ = 63.97°, I 98, hkl 2 2 2
- 2θ = 66.74°, I 102, hkl 2 2 3